Record 1
Computed PXRD pattern
Compound: La2TmTe3
Radiation: CuKα
Structure: a GGA-PBE-relaxed structure

Peak list (10 most intense, 2θ from 15° to 90°, low angle first)
| 2θ/deg | d [Å] | I/Imax |
| --- | --- | --- |
| 28.12 | 3.173 | 100 |
| 39.67 | 2.272 | 13 |
| 40.20 | 2.243 | 50 |
| 40.70 | 2.217 | 12 |
| 49.34 | 1.847 | 14 |
| 50.21 | 1.817 | 13 |
| 58.15 | 1.586 | 12 |
| 65.82 | 1.419 | 22 |
| 72.35 | 1.306 | 8 |
| 73.74 | 1.285 | 8 |

Atomic structure:
```
data_La2TmTe3
_chemical_formula_sum 'La8 Tm4 Te12'
_symmetry_space_group_name_H-M 'P 1'
_symmetry_Int_Tables_number 1
_symmetry_space_group_name_Hall 'P 1'
_cell_length_a 14.7358
_cell_length_b 14.0548
_cell_length_c 7.8036
_cell_angle_alpha 79.15
_cell_angle_beta 69.51
_cell_angle_gamma 31.34
loop_
_atom_site_label
_atom_site_type_symbol
_atom_site_fract_x
_atom_site_fract_y
_atom_site_fract_z
_atom_site_occupancy
La1 La 0.0453 0.0453 0.2047 1
La2 La 0.1228 0.1228 0.6272 1
La3 La 0.2047 0.2047 0.0453 1
La4 La 0.3728 0.3728 0.8772 1
La5 La 0.6272 0.6272 0.1228 1
La6 La 0.7953 0.7953 0.9547 1
La7 La 0.8772 0.8772 0.3728 1
La8 La 0.9547 0.9547 0.7953 1
Tm1 Tm 0.2921 0.2921 0.4579 1
Tm2 Tm 0.4579 0.4579 0.2921 1
Tm3 Tm 0.5421 0.5421 0.7079 1
Tm4 Tm 0.7079 0.7079 0.5421 1
Te1 Te 0.0376 0.5390 0.2275 1
Te2 Te 0.1441 0.6059 0.6059 1
Te3 Te 0.2275 0.6959 0.0376 1
Te4 Te 0.3041 0.7725 0.4610 1
Te5 Te 0.3941 0.8559 0.8559 1
Te6 Te 0.4610 0.9624 0.3041 1
Te7 Te 0.5390 0.0376 0.6959 1
Te8 Te 0.6059 0.1441 0.1441 1
Te9 Te 0.6959 0.2275 0.5390 1
Te10 Te 0.7725 0.3041 0.9624 1
Te11 Te 0.8559 0.3941 0.3941 1
Te12 Te 0.9624 0.4610 0.7725 1
```


Record 2
Computed PXRD pattern
Compound: La2Tm2Te7
Radiation: CuKα
Structure: a GGA-PBE-relaxed structure

Peak list (10 most intense, 2θ from 15° to 90°, low angle first)
| 2θ/deg | d [Å] | I/Imax |
| --- | --- | --- |
| 26.35 | 3.383 | 19 |
| 27.80 | 3.209 | 39 |
| 31.60 | 2.832 | 100 |
| 31.84 | 2.811 | 22 |
| 32.04 | 2.793 | 39 |
| 35.89 | 2.502 | 53 |
| 38.22 | 2.355 | 31 |
| 41.38 | 2.182 | 33 |
| 55.87 | 1.646 | 20 |
| 57.58 | 1.601 | 19 |

Atomic structure:
```
data_La2Tm2Te7
_chemical_formula_sum 'La2 Tm2 Te7'
_symmetry_space_group_name_H-M 'P 1'
_symmetry_Int_Tables_number 1
_symmetry_space_group_name_Hall 'P 1'
_cell_length_a 9.6843
_cell_length_b 9.6843
_cell_length_c 9.6843
_cell_angle_alpha 153.96
_cell_angle_beta 67.96
_cell_angle_gamma 118.47
loop_
_atom_site_label
_atom_site_type_symbol
_atom_site_fract_x
_atom_site_fract_y
_atom_site_fract_z
_atom_site_occupancy
La1 La 0.2421 0.0000 0.2421 1
La2 La 0.7579 0.0000 0.7579 1
Tm1 Tm 0.2286 0.2286 0.0000 1
Tm2 Tm 0.6719 0.1719 0.5000 1
Te1 Te 0.0542 0.6900 0.3642 1
Te2 Te 0.3259 0.6900 0.6358 1
Te3 Te 0.3987 0.5041 0.8946 1
Te4 Te 0.6095 0.5041 0.1054 1
Te5 Te 0.6257 0.2978 0.3279 1
Te6 Te 0.9021 0.9021 0.0000 1
Te7 Te 0.9700 0.2978 0.6721 1
```


> Which formula does entry 1 have?

La2TmTe3